Structure and simulated powder diffractogram of TlRe3Pb (a DFT-relaxed cell (PBE, Alexandria); Cu Kα).
Intensities are scaled so that the largest is 100.

Structure:
Cell: 5.007 5.007 5.007 Å, 90.00 90.00 90.00°
Space group Pm-3m (No. 221)
One atom of each set of equivalent atoms:
Tl (0.000, 0.000, 0.000) x1
Re (0.000, 0.000, 0.500) x3
Pb (0.500, 0.500, 0.500) x1

Top 12 peaks for 10 to 90 degrees two-theta, sorted by position:
- hkl 1 0 0, 2θ = 17.7°, d = 5.007 Å, I = 20
- hkl 1 1 0, 2θ = 25.2°, d = 3.541 Å, I = 26
- hkl 1 1 1, 2θ = 30.9°, d = 2.891 Å, I = 67
- hkl 2 0 0, 2θ = 35.9°, d = 2.504 Å, I = 100
- hkl 2 1 0, 2θ = 40.3°, d = 2.239 Å, I = 10
- hkl 2 1 1, 2θ = 44.3°, d = 2.044 Å, I = 12
- hkl 2 2 0, 2θ = 51.6°, d = 1.770 Å, I = 72
- hkl 3 1 1, 2θ = 61.4°, d = 1.510 Å, I = 29
- hkl 2 2 2, 2θ = 64.5°, d = 1.446 Å, I = 25
- hkl 4 0 0, 2θ = 76.0°, d = 1.252 Å, I = 12
- hkl 3 3 1, 2θ = 84.3°, d = 1.149 Å, I = 12
- hkl 4 2 0, 2θ = 87.0°, d = 1.120 Å, I = 34

Structure and simulated powder diffractogram of NaCaAlSi2O7 (a DFT-relaxed cell (PBE, Alexandria); Cu Kα).
Intensities are scaled so that the largest is 100.

Structure:
Cell: 10.882 10.922 5.116 Å, 90.00 90.00 90.00°
Space group Cmm2 (No. 35)
One atom of each set of equivalent atoms:
Na (0.158, 0.000, 0.000) x4
Ca (0.000, 0.339, 0.032) x4
Al (0.250, 0.250, 0.513) x4
Si (0.000, 0.143, 0.471) x4
Si (0.142, 0.500, 0.560) x4
O (0.000, 0.000, 0.363) x2
O (0.000, 0.157, 0.782) x4
O (0.000, 0.500, 0.697) x2
O (0.120, 0.208, 0.323) x8
O (0.135, 0.500, 0.247) x4
O (0.204, 0.379, 0.699) x8

Top 12 peaks for 10 to 90 degrees two-theta, sorted by position:
- hkl 2 0 0, 2θ = 16.3°, d = 5.441 Å, I = 9
- hkl 0 0 1, 2θ = 17.3°, d = 5.116 Å, I = 16
- hkl 2 0 1, 2θ = 23.9°, d = 3.729 Å, I = 17
- hkl 3 1 0, 2θ = 25.8°, d = 3.447 Å, I = 10
- hkl 2 2 1, 2θ = 29.0°, d = 3.079 Å, I = 18
- hkl 1 3 1, 2θ = 31.3°, d = 2.859 Å, I = 100
- hkl 4 2 0, 2θ = 36.9°, d = 2.437 Å, I = 16
- hkl 1 1 2, 2θ = 37.0°, d = 2.428 Å, I = 10
- hkl 3 3 1, 2θ = 39.2°, d = 2.296 Å, I = 13
- hkl 1 3 2, 2θ = 44.1°, d = 2.055 Å, I = 9
- hkl 4 4 0, 2θ = 47.2°, d = 1.927 Å, I = 9
- hkl 2 4 2, 2θ = 51.8°, d = 1.765 Å, I = 26

Structure and simulated powder diffractogram of Sm4Sn2Sb (a DFT-relaxed cell (PBE, Alexandria); Cu Kα).
Intensities are scaled so that the largest is 100.

Structure:
Cell: 9.460 9.460 9.446 Å, 90.00 90.00 90.00°
Space group I-42d (No. 122)
One atom of each set of equivalent atoms:
Sm (0.071, 0.180, 0.305) x16
Sn (0.126, 0.250, 0.625) x8
Sb (0.000, 0.000, 0.000) x4

Top 12 peaks for 10 to 90 degrees two-theta, sorted by position:
- hkl 3 1 0, 2θ = 29.9°, d = 2.990 Å, I = 100
- hkl 2 1 3, 2θ = 35.5°, d = 2.527 Å, I = 66
- hkl 4 2 0, 2θ = 42.8°, d = 2.114 Å, I = 10
- hkl 3 2 3, 2θ = 45.0°, d = 2.016 Å, I = 9
- hkl 2 2 4, 2θ = 47.1°, d = 1.930 Å, I = 17
- hkl 4 3 1, 2θ = 49.1°, d = 1.854 Å, I = 24
- hkl 1 1 6, 2θ = 60.3°, d = 1.534 Å, I = 26
- hkl 6 0 2, 2θ = 62.1°, d = 1.495 Å, I = 12
- hkl 5 1 4, 2θ = 63.8°, d = 1.459 Å, I = 15
- hkl 4 4 4, 2θ = 68.8°, d = 1.365 Å, I = 6
- hkl 5 5 2, 2θ = 73.6°, d = 1.287 Å, I = 13
- hkl 7 0 5, 2θ = 89.0°, d = 1.099 Å, I = 7